This entry pairs a crystal structure of CdGeBi2O6 with its calculated powder X-ray diffraction pattern. Radiation: Cu Kα, 1.54184 Å. Structure: the PBE geometry in the Materials Project.
Neutral-atom scattering factors, no anomalous dispersion.

```
data_CdGeBi2O6
_chemical_formula_sum 'Cd4 Ge4 Bi8 O24'
_cell_length_a 10.3648
_cell_length_b 5.7032
_cell_length_c 14.7545
_cell_angle_alpha 90.00
_cell_angle_beta 134.09
_cell_angle_gamma 90.00
_space_group_name_H-M_alt 'P 1 21/c 1'
_space_group_IT_number 14
loop_
_space_group_symop_operation_xyz
'x,y,z'
'-x,-y,-z'
'-x,y+1/2,-z+1/2'
'x,-y+1/2,z+1/2'
loop_
_atom_site_label
_atom_site_type_symbol
_atom_site_fract_x
_atom_site_fract_y
_atom_site_fract_z
Cd1 Cd 0.1120 0.2496 0.4982
Ge1 Ge 0.3456 0.7453 0.4982
Bi1 Bi 0.1571 0.2146 0.2623
Bi2 Bi 0.3644 0.7136 0.2547
O1 O 0.1189 0.5115 0.1469
O2 O 0.1752 0.0117 0.1451
O3 O 0.1765 0.5241 0.4197
O4 O 0.3214 0.5430 0.0746
O5 O 0.3260 0.6258 0.8788
O6 O 0.4342 0.1262 0.8769
```

Top 6 peaks for 2θ = 10–90°, low angle first:
- 2θ = 28.64°, I 99, (2 1 0)
- 2θ = 28.83°, I 100, (2 1 -4)
- 2θ = 31.37°, I 32, (0 2 0)
- 2θ = 33.83°, I 26, (0 0 4)
- 2θ = 46.81°, I 28, (0 2 4)
- 2θ = 47.41°, I 24, (4 2 -4)